Simulated X-ray diffraction stick pattern
Compound: Ba3B3Pb2ClO9
Radiation: Cu Kα X-rays
Structure: a GGA-PBE-relaxed structure
Peak positions follow from Bragg's law for the DFT cell and can differ from measured ones.

Principal peaks in the range 2θ from 10° to 90°, low angle first:
d [Å]	intensity
4.416	53
3.867	72
3.637	100
3.426	62
3.197	83
3.151	44
2.969	78
2.852	50
2.809	83
2.651	54
1.888	46
1.820	52

Cell and atoms:
```
Ba3B3Pb2ClO9
1.0
5.2875 -7.2818 0.0000
5.2875 7.2818 0.0000
0.0000 0.0000 8.0287
Ba B Pb Cl O
6 6 4 2 18
Cartesian
5.2875 5.1911 6.0216
5.2875 5.1051 2.0072
2.8126 0.0000 4.0144
7.7623 0.0000 0.0000
5.2875 -5.1051 6.0216
5.2875 -5.1911 2.0072
3.0898 3.1487 3.6762
1.3190 0.0000 0.0000
7.4851 3.1487 0.3382
3.0898 -3.1487 4.3526
9.2559 0.0000 4.0144
7.4851 -3.1487 7.6905
3.7538 1.7696 0.6029
3.7538 -1.7696 7.4258
6.8211 1.7696 3.4115
6.8211 -1.7696 4.6173
5.2875 0.8602 6.0216
5.2875 -0.8602 2.0072
0.0756 0.0000 4.0144
3.4726 4.5472 0.0324
3.5772 4.3781 4.1067
1.9963 0.0934 1.2209
1.9963 -0.0934 6.8078
3.9016 2.3475 2.8733
7.1023 4.5472 3.9820
6.9977 4.3781 7.9364
6.6733 2.3475 1.1411
3.9016 -2.3475 5.1555
3.5772 -4.3781 3.9220
3.4726 -4.5472 7.9964
6.6733 -2.3475 6.8876
8.5786 0.0934 2.7934
8.5786 -0.0934 5.2353
6.9977 -4.3781 0.0924
7.1023 -4.5472 4.0468
10.4993 0.0000 0.0000
```